This entry pairs a crystal structure of ScGeC with its simulated X-ray powder pattern. Radiation: Cu Kα. Structure: DFT lattice parameters and positions (PBE).
Neutral-atom scattering factors, no anomalous dispersion.

The 8 most intense peaks (10 to 90 degrees two-theta), low angle first:
2θ = 30.7°, I 45
2θ = 36.7°, I 100
2θ = 38.3°, I 71
2θ = 39.6°, I 15
2θ = 55.2°, I 23
2θ = 56.4°, I 20
2θ = 65.0°, I 16
2θ = 68.1°, I 31

Cell and atoms:
```
data_ScGeC
_chemical_formula_sum 'Sc4 Ge4 C4'
_space_group_name_H-M_alt 'I 4/m m m'
_space_group_IT_number 139
_space_group_name_Hall '-I 4 2'
_cell_length_a 3.326
_cell_length_b 3.326
_cell_length_c 18.115
_cell_angle_alpha 90.00
_cell_angle_beta 90.00
_cell_angle_gamma 90.00
loop_
_atom_site_label
_atom_site_type_symbol
_atom_site_fract_x
_atom_site_fract_y
_atom_site_fract_z
Sc1 Sc 0.000 0.000 0.092
Ge1 Ge 0.000 0.000 0.312
C1 C 0.000 0.000 0.203
```


This entry pairs a crystal structure of ScGeC3 with its simulated X-ray powder pattern. Radiation: Cu Kα. Structure: DFT lattice parameters and positions (PBE).
Neutral-atom scattering factors, no anomalous dispersion.

The 8 most intense peaks (10 to 90 degrees two-theta), low angle first:
2θ = 22.6°, I 18
2θ = 32.2°, I 100
2θ = 46.2°, I 32
2θ = 52.0°, I 7
2θ = 57.4°, I 37
2θ = 67.4°, I 19
2θ = 76.7°, I 15
2θ = 85.6°, I 6

Cell and atoms:
```
data_ScGeC3
_chemical_formula_sum 'Sc1 Ge1 C3'
_space_group_name_H-M_alt 'P m -3 m'
_space_group_IT_number 221
_space_group_name_Hall '-P 4 2 3'
_cell_length_a 3.930
_cell_length_b 3.930
_cell_length_c 3.930
_cell_angle_alpha 90.00
_cell_angle_beta 90.00
_cell_angle_gamma 90.00
loop_
_atom_site_label
_atom_site_type_symbol
_atom_site_fract_x
_atom_site_fract_y
_atom_site_fract_z
Sc1 Sc 0.000 0.000 0.000
Ge1 Ge 0.500 0.500 0.500
C1 C 0.000 0.500 0.500
```


This entry pairs a crystal structure of Sc4SnGeC with its simulated X-ray powder pattern. Radiation: Cu Kα. Structure: DFT lattice parameters and positions (PBE).
Neutral-atom scattering factors, no anomalous dispersion.

The 8 most intense peaks (10 to 90 degrees two-theta), low angle first:
2θ = 27.3°, I 22
2θ = 28.7°, I 46
2θ = 31.2°, I 42
2θ = 36.9°, I 32
2θ = 37.9°, I 100
2θ = 41.0°, I 59
2θ = 56.3°, I 31
2θ = 72.6°, I 28

Cell and atoms:
```
data_Sc4SnGeC
_chemical_formula_sum 'Sc16 Sn4 Ge4 C4'
_space_group_name_H-M_alt 'C m c m'
_space_group_IT_number 63
_space_group_name_Hall '-C 2c 2'
_cell_length_a 6.229
_cell_length_b 14.631
_cell_length_c 6.233
_cell_angle_alpha 90.00
_cell_angle_beta 90.00
_cell_angle_gamma 90.00
loop_
_atom_site_label
_atom_site_type_symbol
_atom_site_fract_x
_atom_site_fract_y
_atom_site_fract_z
Sc1 Sc 0.000 0.087 0.250
Sc2 Sc 0.000 0.405 0.250
Sc3 Sc 0.250 0.250 0.000
Sn1 Sn 0.000 0.395 0.750
Ge1 Ge 0.000 0.112 0.750
C1 C 0.000 0.247 0.250
```


This entry pairs a crystal structure of TlGeC2Se with its simulated X-ray powder pattern. Radiation: Cu Kα. Structure: DFT lattice parameters and positions (PBE).
Neutral-atom scattering factors, no anomalous dispersion.

The 8 most intense peaks (10 to 90 degrees two-theta), low angle first:
2θ = 15.9°, I 70
2θ = 27.1°, I 96
2θ = 31.1°, I 100
2θ = 32.2°, I 59
2θ = 35.1°, I 66
2θ = 44.5°, I 47
2θ = 45.3°, I 72
2θ = 55.9°, I 47

Cell and atoms:
```
data_TlGeC2Se
_chemical_formula_sum 'Tl1 Ge1 C2 Se1'
_space_group_name_H-M_alt 'P 4/m m m'
_space_group_IT_number 123
_space_group_name_Hall '-P 4 2'
_cell_length_a 4.073
_cell_length_b 4.073
_cell_length_c 5.568
_cell_angle_alpha 90.00
_cell_angle_beta 90.00
_cell_angle_gamma 90.00
loop_
_atom_site_label
_atom_site_type_symbol
_atom_site_fract_x
_atom_site_fract_y
_atom_site_fract_z
Tl1 Tl 0.000 0.000 0.000
Ge1 Ge 0.500 0.500 0.500
C1 C 0.000 0.500 0.500
Se1 Se 0.500 0.500 0.000
```


This entry pairs a crystal structure of Sm3TmGe2C with its simulated X-ray powder pattern. Radiation: Cu Kα. Structure: DFT lattice parameters and positions (PBE).
Neutral-atom scattering factors, no anomalous dispersion.

The 8 most intense peaks (10 to 90 degrees two-theta), low angle first:
2θ = 11.4°, I 23
2θ = 29.0°, I 100
2θ = 34.6°, I 39
2θ = 35.3°, I 90
2θ = 37.4°, I 33
2θ = 38.5°, I 31
2θ = 51.9°, I 24
2θ = 66.2°, I 26

Cell and atoms:
```
data_Sm3TmGe2C
_chemical_formula_sum 'Sm6 Tm2 Ge4 C2'
_space_group_name_H-M_alt 'I m m m'
_space_group_IT_number 71
_space_group_name_Hall '-I 2 2'
_cell_length_a 4.676
_cell_length_b 4.805
_cell_length_c 15.575
_cell_angle_alpha 90.00
_cell_angle_beta 90.00
_cell_angle_gamma 90.00
loop_
_atom_site_label
_atom_site_type_symbol
_atom_site_fract_x
_atom_site_fract_y
_atom_site_fract_z
Sm1 Sm 0.000 0.000 0.000
Sm2 Sm 0.000 0.500 0.168
Tm1 Tm 0.000 0.000 0.500
Ge1 Ge 0.000 0.500 0.365
C1 C 0.000 0.500 0.000
```


This entry pairs a crystal structure of SrGeC with its simulated X-ray powder pattern. Radiation: Cu Kα. Structure: DFT lattice parameters and positions (PBE).
Neutral-atom scattering factors, no anomalous dispersion.

The 8 most intense peaks (10 to 90 degrees two-theta), low angle first:
2θ = 25.5°, I 56
2θ = 26.8°, I 50
2θ = 28.6°, I 68
2θ = 29.3°, I 100
2θ = 30.4°, I 49
2θ = 34.6°, I 45
2θ = 35.6°, I 90
2θ = 43.3°, I 83

Cell and atoms:
```
data_SrGeC
_chemical_formula_sum 'Sr4 Ge4 C4'
_space_group_name_H-M_alt 'C 1 m 1'
_space_group_IT_number 8
_cell_length_a 7.309
_cell_length_b 4.095
_cell_length_c 9.693
_cell_angle_alpha 90.00
_cell_angle_beta 108.91
_cell_angle_gamma 90.00
loop_
_space_group_symop_operation_xyz
'x,y,z'
'x,-y,z'
'x+1/2,y+1/2,z'
'x+1/2,-y+1/2,z'
loop_
_atom_site_label
_atom_site_type_symbol
_atom_site_fract_x
_atom_site_fract_y
_atom_site_fract_z
Sr1 Sr 0.000 0.000 0.000
Sr2 Sr 0.082 0.500 0.598
Ge1 Ge 0.155 0.000 0.365
Ge2 Ge 0.275 0.500 0.252
C1 C 0.251 0.000 0.851
C2 C 0.350 0.000 0.764
```


This entry pairs a crystal structure of Ta2Ti3Ge2C2 with its simulated X-ray powder pattern. Radiation: Cu Kα. Structure: DFT lattice parameters and positions (PBE).
Neutral-atom scattering factors, no anomalous dispersion.

The 8 most intense peaks (10 to 90 degrees two-theta), low angle first:
2θ = 23.2°, I 56
2θ = 32.3°, I 76
2θ = 33.9°, I 53
2θ = 34.7°, I 65
2θ = 38.6°, I 50
2θ = 43.4°, I 100
2θ = 46.3°, I 64
2θ = 65.3°, I 59

Cell and atoms:
```
data_Ta2Ti3Ge2C2
_chemical_formula_sum 'Ta4 Ti6 Ge4 C4'
_space_group_name_H-M_alt 'I 4/m m m'
_space_group_IT_number 139
_space_group_name_Hall '-I 4 2'
_cell_length_a 3.925
_cell_length_b 3.925
_cell_length_c 17.206
_cell_angle_alpha 90.00
_cell_angle_beta 90.00
_cell_angle_gamma 90.00
loop_
_atom_site_label
_atom_site_type_symbol
_atom_site_fract_x
_atom_site_fract_y
_atom_site_fract_z
Ta1 Ta 0.000 0.000 0.077
Ti1 Ti 0.000 0.000 0.500
Ti2 Ti 0.000 0.500 0.250
Ge1 Ge 0.000 0.000 0.350
C1 C 0.000 0.500 0.000
```


This entry pairs a crystal structure of Tb4Ge2C with its simulated X-ray powder pattern. Radiation: Cu Kα. Structure: DFT lattice parameters and positions (PBE).
Neutral-atom scattering factors, no anomalous dispersion.

The 8 most intense peaks (10 to 90 degrees two-theta), low angle first:
2θ = 11.9°, I 29
2θ = 28.4°, I 82
2θ = 29.5°, I 88
2θ = 35.4°, I 93
2θ = 36.1°, I 46
2θ = 36.3°, I 69
2θ = 37.6°, I 100
2θ = 53.1°, I 48

Cell and atoms:
```
data_Tb4Ge2C
_chemical_formula_sum 'Tb16 Ge8 C4'
_space_group_name_H-M_alt 'C m c e'
_space_group_IT_number 64
_space_group_name_Hall '-C 2ac 2'
_cell_length_a 6.619
_cell_length_b 14.935
_cell_length_c 6.916
_cell_angle_alpha 90.00
_cell_angle_beta 90.00
_cell_angle_gamma 90.00
loop_
_atom_site_label
_atom_site_type_symbol
_atom_site_fract_x
_atom_site_fract_y
_atom_site_fract_z
Tb1 Tb 0.000 0.170 0.055
Tb2 Tb 0.250 0.015 0.750
Ge1 Ge 0.000 0.135 0.476
C1 C 0.000 0.000 0.000
```


This entry pairs a crystal structure of Tb3YGe2C with its simulated X-ray powder pattern. Radiation: Cu Kα. Structure: DFT lattice parameters and positions (PBE).
Neutral-atom scattering factors, no anomalous dispersion.

The 8 most intense peaks (10 to 90 degrees two-theta), low angle first:
2θ = 25.7°, I 27
2θ = 29.2°, I 100
2θ = 35.2°, I 35
2θ = 35.7°, I 93
2θ = 38.1°, I 36
2θ = 38.3°, I 36
2θ = 52.8°, I 25
2θ = 67.3°, I 26

Cell and atoms:
```
data_Tb3YGe2C
_chemical_formula_sum 'Tb6 Y2 Ge4 C2'
_space_group_name_H-M_alt 'I m m m'
_space_group_IT_number 71
_space_group_name_Hall '-I 2 2'
_cell_length_a 4.702
_cell_length_b 4.724
_cell_length_c 15.294
_cell_angle_alpha 90.00
_cell_angle_beta 90.00
_cell_angle_gamma 90.00
loop_
_atom_site_label
_atom_site_type_symbol
_atom_site_fract_x
_atom_site_fract_y
_atom_site_fract_z
Tb1 Tb 0.000 0.000 0.000
Tb2 Tb 0.000 0.500 0.168
Y1 Y 0.000 0.000 0.500
Ge1 Ge 0.000 0.500 0.363
C1 C 0.000 0.500 0.000
```


This entry pairs a crystal structure of YTc2Ge2C with its simulated X-ray powder pattern. Radiation: Cu Kα. Structure: DFT lattice parameters and positions (PBE).
Neutral-atom scattering factors, no anomalous dispersion.

The 8 most intense peaks (10 to 90 degrees two-theta), low angle first:
2θ = 16.3°, I 16
2θ = 34.5°, I 100
2θ = 39.6°, I 42
2θ = 43.2°, I 57
2θ = 45.4°, I 29
2θ = 60.0°, I 32
2θ = 62.8°, I 18
2θ = 73.7°, I 21

Cell and atoms:
```
data_YTc2Ge2C
_chemical_formula_sum 'Y1 Tc2 Ge2 C1'
_space_group_name_H-M_alt 'P 4/m m m'
_space_group_IT_number 123
_space_group_name_Hall '-P 4 2'
_cell_length_a 4.185
_cell_length_b 4.185
_cell_length_c 5.422
_cell_angle_alpha 90.00
_cell_angle_beta 90.00
_cell_angle_gamma 90.00
loop_
_atom_site_label
_atom_site_type_symbol
_atom_site_fract_x
_atom_site_fract_y
_atom_site_fract_z
Y1 Y 0.000 0.000 0.000
Tc1 Tc 0.000 0.500 0.500
Ge1 Ge 0.500 0.500 0.222
C1 C 0.000 0.000 0.500
```


This entry pairs a crystal structure of Tm4GeC2 with its simulated X-ray powder pattern. Radiation: Cu Kα. Structure: DFT lattice parameters and positions (PBE).
Neutral-atom scattering factors, no anomalous dispersion.

The 8 most intense peaks (10 to 90 degrees two-theta), low angle first:
2θ = 29.3°, I 46
2θ = 32.6°, I 100
2θ = 33.1°, I 40
2θ = 33.6°, I 91
2θ = 33.9°, I 98
2θ = 36.2°, I 37
2θ = 50.5°, I 38
2θ = 60.8°, I 37

Cell and atoms:
```
data_Tm4GeC2
_chemical_formula_sum 'Tm16 Ge4 C8'
_space_group_name_H-M_alt 'C m c m'
_space_group_IT_number 63
_space_group_name_Hall '-C 2c 2'
_cell_length_a 3.659
_cell_length_b 12.055
_cell_length_c 12.361
_cell_angle_alpha 90.00
_cell_angle_beta 90.00
_cell_angle_gamma 90.00
loop_
_atom_site_label
_atom_site_type_symbol
_atom_site_fract_x
_atom_site_fract_y
_atom_site_fract_z
Tm1 Tm 0.000 0.000 0.000
Tm2 Tm 0.000 0.265 0.106
Tm3 Tm 0.000 0.432 0.750
Ge1 Ge 0.000 0.112 0.750
C1 C 0.000 0.364 0.561
```


This entry pairs a crystal structure of V7GeC2 with its simulated X-ray powder pattern. Radiation: Cu Kα. Structure: DFT lattice parameters and positions (PBE).
Neutral-atom scattering factors, no anomalous dispersion.

The 8 most intense peaks (10 to 90 degrees two-theta), low angle first:
2θ = 28.0°, I 36
2θ = 36.0°, I 94
2θ = 37.5°, I 71
2θ = 42.0°, I 74
2θ = 44.9°, I 100
2θ = 46.4°, I 57
2θ = 48.9°, I 48
2θ = 66.6°, I 55

Cell and atoms:
```
data_V7GeC2
_chemical_formula_sum 'V14 Ge2 C4'
_space_group_name_H-M_alt 'C m m m'
_space_group_IT_number 65
_space_group_name_Hall '-C 2 2'
_cell_length_a 6.490
_cell_length_b 10.304
_cell_length_c 3.912
_cell_angle_alpha 90.00
_cell_angle_beta 90.00
_cell_angle_gamma 90.00
loop_
_atom_site_label
_atom_site_type_symbol
_atom_site_fract_x
_atom_site_fract_y
_atom_site_fract_z
V1 V 0.000 0.000 0.000
V2 V 0.000 0.236 0.500
V3 V 0.206 0.367 0.000
Ge1 Ge 0.000 0.500 0.500
C1 C 0.000 0.207 0.000
```